Starting from a cell relaxed with PBE+U, the powder diffractogram of V3O4F4 was calculated for Cu Ka.
Kinematic intensities with the Lorentz-polarization factor, no thermal factor.

Structure:
Lattice parameters (Å, degrees): 4.790 3.002 9.701 90.00 91.10 90.00
Fractional positions:
V: 0.000 0.000 0.000
V: 0.039 0.500 0.730
V: 0.518 0.500 0.223
O: 0.210 0.500 0.087
O: 0.212 0.000 0.828
O: 0.696 0.000 0.131
O: 0.821 0.500 0.902
F: 0.268 0.500 0.591
F: 0.313 0.000 0.308
F: 0.757 0.500 0.364
F: 0.805 0.000 0.661

Peak list (10 most intense, 5 to 70 degrees two-theta, by angle)
2theta  I (rel.)  (hkl)
9.1  100  0 0 1
18.3  34  0 0 2
18.5  22  1 0 0
20.5  71  1 0 -1
20.8  96  1 0 1
33.1  27  1 0 -3
35.2  22  0 1 2
36.4  27  1 1 -1
40.2  48  1 1 2
52.7  28  2 1 2